Structure and calculated powder diffraction line list of Li4MnSi2O7 (a PBE+U-relaxed structure; Cu Kα (weighted mean of Kα1 and Kα2)).
Neutral-atom scattering factors, no anomalous dispersion.

```
data_Li4MnSi2O7
_space_group_name_H-M_alt 'C 1 c 1'
_space_group_IT_number 9
_space_group_name_Hall 'C -2yc'
_cell_length_a 13.475
_cell_length_b 5.492
_cell_length_c 8.159
_cell_angle_alpha 90.00
_cell_angle_beta 95.27
_cell_angle_gamma 90.00
loop_
_atom_site_label
_atom_site_type_symbol
_atom_site_fract_x
_atom_site_fract_y
_atom_site_fract_z
Li1 Li 0.000 0.145 0.000
Li2 Li 0.070 0.323 0.353
Li3 Li 0.199 0.341 0.071
Li4 Li 0.271 0.189 0.425
Mn1 Mn 0.426 0.161 0.147
Si1 Si 0.142 0.171 0.710
Si2 Si 0.350 0.335 0.775
O1 O 0.055 0.312 0.807
O2 O 0.114 0.114 0.177
O3 O 0.165 0.316 0.545
O4 O 0.250 0.186 0.842
O5 O 0.319 0.380 0.241
O6 O 0.383 0.197 0.609
O7 O 0.441 0.313 0.922
```

Top 6 peaks for 10 to 90 degrees two-theta, low angle first:
hkl 1 1 -1, 4.378 Å, intensity 100; hkl 0 0 2, 4.062 Å, intensity 71; hkl 0 2 0, 2.746 Å, intensity 39; hkl 3 1 -2, 2.736 Å, intensity 79; hkl 4 0 2, 2.477 Å, intensity 61; hkl 3 3 -2, 1.583 Å, intensity 40